Computed X-ray diffraction stick pattern
Compound: K4U5Te2O21
Radiation: Cu Kα (λ = 1.5418 Å)
Structure: the PBE geometry in the Materials Project

Most intense lines, 2θ = 15–90°, sorted by position:
2θ (°)	Rel. int.	h k l
24.6	55	0 1 -3
25.3	69	0 2 -1
25.8	63	2 0 -1
26.4	100	1 -2 0
27.8	86	1 1 2
28.1	51	1 -1 3
29.1	38	0 1 3
29.5	33	-1 1 3
31.3	45	2 -1 2
45.6	30	3 1 1

Structure:
```
K4U5Te2O21
1.0
7.1156 0.0000 0.0000
-1.2200 7.0831 0.0000
-1.0878 -2.2223 11.2878
K U Te O
4 5 2 21
direct
0.0625 0.2915 0.0847 K
0.1978 0.8397 0.2673 K
0.8022 0.1603 0.7327 K
0.9375 0.7085 0.9153 K
0.2771 0.8751 0.6847 U
0.3750 0.4305 0.8200 U
0.5000 0.0000 0.0000 U
0.6250 0.5695 0.1800 U
0.7229 0.1249 0.3153 U
0.1785 0.3147 0.5145 Te
0.8215 0.6853 0.4855 Te
0.0344 0.8743 0.7324 O
0.0885 0.7681 0.4903 O
0.1273 0.3871 0.8661 O
0.2143 0.5293 0.6424 O
0.2545 0.9897 0.0473 O
0.2624 0.1726 0.6267 O
0.3732 0.7540 0.8480 O
0.3849 0.5290 0.2335 O
0.4139 0.1236 0.8384 O
0.4929 0.1291 0.3766 O
0.5000 0.5000 0.0000 O
0.5071 0.8709 0.6234 O
0.5861 0.8764 0.1616 O
0.6151 0.4710 0.7665 O
0.6268 0.2460 0.1520 O
0.7376 0.8274 0.3733 O
0.7455 0.0103 0.9527 O
0.7857 0.4707 0.3576 O
0.8727 0.6129 0.1339 O
0.9115 0.2319 0.5097 O
0.9656 0.1257 0.2676 O
```